# 1
Starting from the PBE geometry in Alexandria, the XRD peak list of Rb2CoBiBr6 was computed for a wavelength of 1.5418 Å.

Structural model:
```
Rb2CoBiBr6
1.0
0.000 5.513 5.513
5.513 0.000 5.513
5.513 5.513 0.000
Rb Co Bi Br
2 1 1 6
Direct
0.250 0.250 0.250
0.750 0.750 0.750
0.000 0.000 0.000
0.500 0.500 0.500
0.237 0.237 0.763
0.237 0.763 0.237
0.237 0.763 0.763
0.763 0.237 0.237
0.763 0.237 0.763
0.763 0.763 0.237
```

The 6 most intense peaks (10° ≤ 2θ ≤ 80°), by angle:
- 5.513 Å, 16.08 deg, rel. 44
- 3.898 Å, 22.81 deg, rel. 44
- 3.183 Å, 28.03 deg, rel. 36
- 2.757 Å, 32.48 deg, rel. 100
- 1.949 Å, 46.59 deg, rel. 71
- 1.233 Å, 77.42 deg, rel. 30


# 2
Starting from the PBE geometry in Alexandria, the XRD peak list of Co6PtRh was computed for a wavelength of 1.5418 Å.

Structural model:
```
Co6PtRh
1.0
5.208 0.000 0.000
-2.604 4.510 0.000
0.000 0.000 4.118
Co Pt Rh
6 1 1
Direct
0.015 0.507 0.000
0.175 0.351 0.500
0.175 0.825 0.500
0.493 0.507 0.000
0.493 0.985 0.000
0.649 0.825 0.500
0.000 0.000 0.000
0.667 0.333 0.500
```

The 6 most intense peaks (10° ≤ 2θ ≤ 80°), by angle:
- 3.041 Å, 29.37 deg, rel. 29
- 2.255 Å, 39.98 deg, rel. 26
- 2.059 Å, 43.97 deg, rel. 25
- 1.978 Å, 45.88 deg, rel. 100
- 1.521 Å, 60.93 deg, rel. 14
- 1.302 Å, 72.62 deg, rel. 15